# 1
This entry pairs a crystal structure of AlFeTc2W with its simulated PXRD pattern. Radiation: λ = 1.5418 Å (Cu Kα). Structure: a crystal structure in Alexandria, relaxed with GGA-PBE.

```
data_AlFeTc2W
_chemical_formula_sum 'Al1 Fe1 Tc2 W1'
_space_group_name_H-M_alt 'P 4/m m m'
_space_group_IT_number 123
_space_group_name_Hall '-P 4 2'
_cell_length_a 4.3968
_cell_length_b 4.3968
_cell_length_c 4.4392
_cell_angle_alpha 90.00
_cell_angle_beta 90.00
_cell_angle_gamma 90.00
loop_
_atom_site_label
_atom_site_type_symbol
_atom_site_fract_x
_atom_site_fract_y
_atom_site_fract_z
Al1 Al 0.0000 0.0000 0.0000
Fe1 Fe 0.5000 0.5000 0.5000
Tc1 Tc 0.0000 0.5000 0.5000
W1 W 0.5000 0.5000 0.0000
```

Most intense lines, 2θ = 5–70°, in order of rising 2θ:
Position (°2θ)  Rel. int.  hkl
20.20  75  1 0 0
28.57  12  1 0 1
35.24  100  1 1 1
40.65  30  0 0 2
41.06  58  2 0 0
45.79  18  1 0 2
46.16  18  2 1 0
50.78  6  2 1 1
59.15  39  2 0 2
59.46  19  2 2 0
63.17  13  2 1 2
63.47  4  3 0 0

***

# 2
This entry pairs a crystal structure of ZrAlFeTc with its simulated PXRD pattern. Radiation: λ = 1.5418 Å (Cu Kα). Structure: a crystal structure in Alexandria, relaxed with GGA-PBE.

```
data_ZrAlFeTc
_chemical_formula_sum 'Zr4 Al4 Fe4 Tc4'
_space_group_name_H-M_alt 'F -4 3 m'
_space_group_IT_number 216
_space_group_name_Hall 'F -4 2 3'
_cell_length_a 6.2542
_cell_length_b 6.2542
_cell_length_c 6.2542
_cell_angle_alpha 90.00
_cell_angle_beta 90.00
_cell_angle_gamma 90.00
loop_
_atom_site_label
_atom_site_type_symbol
_atom_site_fract_x
_atom_site_fract_y
_atom_site_fract_z
Zr1 Zr 0.0000 0.0000 0.0000
Al1 Al 0.0000 0.0000 0.5000
Fe1 Fe 0.2500 0.2500 0.7500
Tc1 Tc 0.2500 0.2500 0.2500
```

Most intense lines, 2θ = 5–70°, in order of rising 2θ:
Position (°2θ)  Rel. int.  hkl
24.66  20  1 1 1
28.54  3  2 0 0
40.81  100  2 2 0
48.26  10  3 1 1
50.55  1  2 2 2
59.08  16  4 0 0
65.00  4  3 3 1
66.91  1  4 2 0

***

# 3
This entry pairs a crystal structure of Th2Al6Fe9 with its simulated PXRD pattern. Radiation: λ = 1.5418 Å (Cu Kα). Structure: a crystal structure in Alexandria, relaxed with GGA-PBE.

```
data_Th2Al6Fe9
_chemical_formula_sum 'Th2 Al6 Fe9'
_space_group_name_H-M_alt 'P 6/m m m'
_space_group_IT_number 191
_space_group_name_Hall '-P 6 2'
_cell_length_a 5.1591
_cell_length_b 5.1591
_cell_length_c 12.2637
_cell_angle_alpha 90.00
_cell_angle_beta 90.00
_cell_angle_gamma 120.00
loop_
_atom_site_label
_atom_site_type_symbol
_atom_site_fract_x
_atom_site_fract_y
_atom_site_fract_z
Th1 Th 0.0000 0.0000 0.2009
Al1 Al 0.3333 0.6667 0.1631
Al2 Al 0.3333 0.6667 0.5000
Fe1 Fe 0.0000 0.5000 0.0000
Fe2 Fe 0.0000 0.5000 0.3305
```

Most intense lines, 2θ = 5–70°, in order of rising 2θ:
Position (°2θ)  Rel. int.  hkl
7.21  38  0 0 1
14.45  59  0 0 2
24.65  100  1 0 2
29.62  100  1 0 3
34.78  30  1 1 0
37.84  32  1 1 2
40.38  85  2 0 0
41.39  95  1 1 3
42.02  41  1 0 5
43.10  25  2 0 2
59.20  28  2 1 3
66.86  23  3 0 3

***

# 4
This entry pairs a crystal structure of Th6Al3Fe with its simulated PXRD pattern. Radiation: λ = 1.5418 Å (Cu Kα). Structure: a crystal structure in Alexandria, relaxed with GGA-PBE.

```
data_Th6Al3Fe
_chemical_formula_sum 'Th36 Al18 Fe6'
_space_group_name_H-M_alt 'R -3 m'
_space_group_IT_number 166
_space_group_name_Hall '-R 3 2"'
_cell_length_a 11.4207
_cell_length_b 11.4207
_cell_length_c 14.8828
_cell_angle_alpha 90.00
_cell_angle_beta 90.00
_cell_angle_gamma 120.00
loop_
_atom_site_label
_atom_site_type_symbol
_atom_site_fract_x
_atom_site_fract_y
_atom_site_fract_z
Th1 Th 0.1027 0.2054 0.3899
Th2 Th 0.1093 0.2186 0.1058
Al1 Al 0.0541 0.5270 0.4177
Fe1 Fe 0.0000 0.0000 0.0000
Fe2 Fe 0.0000 0.0000 0.5000
```

Most intense lines, 2θ = 5–70°, in order of rising 2θ:
Position (°2θ)  Rel. int.  hkl
14.90  12  0 1 2
18.91  15  0 2 1
24.55  19  2 1 1
25.58  34  1 0 4
27.05  28  3 0 0
32.61  100  3 0 3
33.21  23  1 3 1
34.00  15  2 1 4
47.78  29  3 3 0
54.61  12  1 3 7
59.05  17  0 6 3
62.32  11  4 3 4

***

# 5
This entry pairs a crystal structure of Ti6Al10Fe with its simulated PXRD pattern. Radiation: λ = 1.5418 Å (Cu Kα). Structure: a crystal structure in Alexandria, relaxed with GGA-PBE.

```
data_Ti6Al10Fe
_chemical_formula_sum 'Ti6 Al10 Fe1'
_space_group_name_H-M_alt 'P -3 1 m'
_space_group_IT_number 162
_space_group_name_Hall '-P 3 2'
_cell_length_a 7.6590
_cell_length_b 7.6590
_cell_length_c 5.3640
_cell_angle_alpha 90.00
_cell_angle_beta 90.00
_cell_angle_gamma 120.00
loop_
_atom_site_label
_atom_site_type_symbol
_atom_site_fract_x
_atom_site_fract_y
_atom_site_fract_z
Ti1 Ti 0.0000 0.3884 0.2132
Al1 Al 0.0000 0.2444 0.7015
Al2 Al 0.3333 0.6667 0.0000
Al3 Al 0.3333 0.6667 0.5000
Fe1 Fe 0.0000 0.0000 0.0000
```

Most intense lines, 2θ = 5–70°, in order of rising 2θ:
Position (°2θ)  Rel. int.  hkl
16.53  8  0 0 1
28.64  31  2 -1 1
31.72  18  2 0 1
33.41  11  0 0 2
39.69  91  2 1 1
40.81  63  3 0 0
41.09  100  2 -1 2
50.62  12  2 2 1
52.59  18  4 -1 1
59.30  18  2 2 2
63.55  10  5 -2 1
63.96  9  3 -1 3

***

# 6
This entry pairs a crystal structure of Ti2Al2Fe3 with its simulated PXRD pattern. Radiation: λ = 1.5418 Å (Cu Kα). Structure: a crystal structure in Alexandria, relaxed with GGA-PBE.

```
data_Ti2Al2Fe3
_chemical_formula_sum 'Ti4 Al4 Fe6'
_space_group_name_H-M_alt 'C 1 2/m 1'
_space_group_IT_number 12
_cell_length_a 7.2110
_cell_length_b 4.1668
_cell_length_c 6.9067
_cell_angle_alpha 90.00
_cell_angle_beta 110.48
_cell_angle_gamma 90.00
loop_
_space_group_symop_operation_xyz
'x,y,z'
'-x,-y,-z'
'-x,y,-z'
'x,-y,z'
'x+1/2,y+1/2,z'
'-x+1/2,-y+1/2,-z'
'-x+1/2,y+1/2,-z'
'x+1/2,-y+1/2,z'
loop_
_atom_site_label
_atom_site_type_symbol
_atom_site_fract_x
_atom_site_fract_y
_atom_site_fract_z
Ti1 Ti 0.1170 0.0000 0.3525
Al1 Al 0.1308 0.5000 0.8913
Fe1 Fe 0.0000 0.5000 0.5000
Fe2 Fe 0.2428 0.0000 0.7288
```

Most intense lines, 2θ = 5–70°, in order of rising 2θ:
Position (°2θ)  Rel. int.  hkl
13.69  50  0 0 1
26.36  11  1 1 -1
27.57  6  0 0 2
33.93  13  2 0 1
41.06  11  1 1 2
43.45  100  0 2 0
45.03  81  1 1 -3
45.77  13  3 1 -2
52.24  5  3 1 1
56.24  3  2 2 1
58.20  3  1 1 -4
64.36  26  4 0 -4